No. 1
# AlPd2
Computed X-ray powder pattern, a wavelength of 1.5418 Å. Input: a DFT-relaxed cell (PBE, the Materials Project).
Intensities are scaled so that the largest is 100.

Peak list (8 most intense, 10 to 90 degrees two-theta, sorted by position)
- hkl 1 1 1, 2θ = 29.41°, rel. 39
- hkl 1 1 2, 2θ = 35.58°, rel. 45
- hkl 2 1 0, 2θ = 39.49°, rel. 68
- hkl 2 0 2, 2θ = 40.13°, rel. 37
- hkl 0 1 3, 2θ = 40.85°, rel. 100
- hkl 2 1 1, 2θ = 41.20°, rel. 71
- hkl 0 2 0, 2θ = 43.94°, rel. 55
- hkl 2 0 3, 2θ = 48.08°, rel. 30

Cell and atoms:
```
data_AlPd2
_chemical_formula_sum 'Al4 Pd8'
_symmetry_space_group_name_H-M 'P n m a'
_symmetry_Int_Tables_number 62
_symmetry_space_group_name_Hall '-P 2ac 2n'
_cell_length_a 5.480
_cell_length_b 4.122
_cell_length_c 7.851
_cell_angle_alpha 90.00
_cell_angle_beta 90.00
_cell_angle_gamma 90.00
loop_
_atom_site_label
_atom_site_type_symbol
_atom_site_fract_x
_atom_site_fract_y
_atom_site_fract_z
_atom_site_occupancy
Al1 Al 0.197 0.250 0.105 1
Pd1 Pd 0.041 0.250 0.789 1
Pd2 Pd 0.166 0.250 0.433 1
```



No. 2
# PuAl3Pd2
Computed X-ray powder pattern, a wavelength of 1.5418 Å. Input: a DFT-relaxed cell (PBE, the Materials Project).
Intensities are scaled so that the largest is 100.

Peak list (8 most intense, 10 to 90 degrees two-theta, sorted by position)
- hkl 0 0 1, 2θ = 21.16°, rel. 48
- hkl 1 0 1, 2θ = 28.45°, rel. 24
- hkl 1 1 0, 2θ = 32.86°, rel. 64
- hkl 1 1 1, 2θ = 39.42°, rel. 100
- hkl 0 0 2, 2θ = 43.08°, rel. 16
- hkl 1 1 2, 2θ = 55.23°, rel. 30
- hkl 3 0 1, 2θ = 63.10°, rel. 25
- hkl 1 1 3, 2θ = 76.51°, rel. 14

Cell and atoms:
```
data_PuAl3Pd2
_chemical_formula_sum 'Pu1 Al3 Pd2'
_symmetry_space_group_name_H-M 'P 6/m m m'
_symmetry_Int_Tables_number 191
_symmetry_space_group_name_Hall '-P 6 2'
_cell_length_a 5.4506
_cell_length_b 5.4506
_cell_length_c 4.1991
_cell_angle_alpha 90.00
_cell_angle_beta 90.00
_cell_angle_gamma 120.00
loop_
_atom_site_label
_atom_site_type_symbol
_atom_site_fract_x
_atom_site_fract_y
_atom_site_fract_z
_atom_site_occupancy
Pu1 Pu 0.0000 0.0000 0.0000 1
Al1 Al 0.0000 0.5000 0.5000 1
Pd1 Pd 0.3333 0.6667 0.0000 1
```



No. 3
# Sc6Al16Pd7
Computed X-ray powder pattern, a wavelength of 1.5418 Å. Input: a DFT-relaxed cell (PBE, the Materials Project).
Intensities are scaled so that the largest is 100.

Peak list (8 most intense, 10 to 90 degrees two-theta, sorted by position)
- hkl 2 2 2, 2θ = 24.74°, rel. 56
- hkl 4 0 0, 2θ = 28.64°, rel. 39
- hkl 3 3 3, 2θ = 37.48°, rel. 22
- hkl 4 4 0, 2θ = 40.95°, rel. 100
- hkl 6 2 2, 2θ = 48.43°, rel. 50
- hkl 6 6 2, 2θ = 65.23°, rel. 18
- hkl 8 4 4, 2θ = 74.57°, rel. 20
- hkl 6 6 6, 2θ = 79.96°, rel. 18

Cell and atoms:
```
data_Sc6Al16Pd7
_chemical_formula_sum 'Sc24 Al64 Pd28'
_symmetry_space_group_name_H-M 'F m -3 m'
_symmetry_Int_Tables_number 225
_symmetry_space_group_name_Hall '-F 4 2 3'
_cell_length_a 12.468
_cell_length_b 12.468
_cell_length_c 12.468
_cell_angle_alpha 90.00
_cell_angle_beta 90.00
_cell_angle_gamma 90.00
loop_
_atom_site_label
_atom_site_type_symbol
_atom_site_fract_x
_atom_site_fract_y
_atom_site_fract_z
_atom_site_occupancy
Sc1 Sc 0.000 0.000 0.192 1
Al1 Al 0.121 0.121 0.379 1
Al2 Al 0.165 0.165 0.165 1
Pd1 Pd 0.000 0.000 0.500 1
Pd2 Pd 0.000 0.250 0.250 1
```